[1]
Starting from a crystal structure in the Materials Project, relaxed with PBE, the X-ray powder pattern of BeP2 was simulated for CuKα.
Intensities are scaled so that the largest is 100.

Principal peaks in the range 10° ≤ 2θ ≤ 90°, low angle first:
2θ/deg  intensity
11.55  87
23.28  50
28.59  78
32.96  100
51.25  68
57.75  35

Crystal structure
a b c (Å): 8.072 8.072 8.072
angles (deg): 157.07 151.71 36.73
Atoms (fractional coordinates):
Be1 0.447 0.197 0.250
Be2 0.553 0.803 0.750
P1 0.116 0.866 0.250
P2 0.216 0.466 0.750
P3 0.784 0.534 0.250
P4 0.884 0.134 0.750

***

[2]
Starting from a crystal structure in the Materials Project, relaxed with PBE, the X-ray powder pattern of Ba6Re2N6O was simulated for CuKα.
Intensities are scaled so that the largest is 100.

Principal peaks in the range 10° ≤ 2θ ≤ 90°, low angle first:
2θ/deg  intensity
26.52  43
27.11  100
30.36  47
32.39  68
33.84  24
48.58  22

Crystal structure
a b c (Å): 7.550 7.550 7.550
angles (deg): 65.66 65.66 65.66
Atoms (fractional coordinates):
Ba1 0.184 0.740 0.333
Ba2 0.260 0.667 0.816
Ba3 0.333 0.184 0.740
Ba4 0.667 0.816 0.260
Ba5 0.740 0.333 0.184
Ba6 0.816 0.260 0.667
Re1 0.250 0.250 0.250
Re2 0.750 0.750 0.750
N1 0.039 0.483 0.232
N2 0.232 0.039 0.483
N3 0.483 0.232 0.039
N4 0.517 0.768 0.961
N5 0.768 0.961 0.517
N6 0.961 0.517 0.768
O1 0.500 0.500 0.500

***

[3]
Starting from a crystal structure in the Materials Project, relaxed with PBE, the X-ray powder pattern of Zr3Cu4Si2 was simulated for CuKα.
Intensities are scaled so that the largest is 100.

Principal peaks in the range 10° ≤ 2θ ≤ 90°, low angle first:
2θ/deg  intensity
36.03  100
39.66  88
43.31  43
45.42  31
64.56  25
79.27  21

Crystal structure
a b c (Å): 6.382 6.382 3.993
angles (deg): 90.00 90.00 120.00
Atoms (fractional coordinates):
Zr1 0.000 0.588 0.000
Zr2 0.412 0.412 0.000
Zr3 0.588 0.000 0.000
Cu1 0.000 0.000 0.000
Cu2 0.000 0.247 0.500
Cu3 0.247 0.000 0.500
Cu4 0.753 0.753 0.500
Si1 0.333 0.667 0.500
Si2 0.667 0.333 0.500

***

[4]
Starting from a crystal structure in the Materials Project, relaxed with PBE, the X-ray powder pattern of CsAlF4 was simulated for CuKα.
Intensities are scaled so that the largest is 100.

Principal peaks in the range 10° ≤ 2θ ≤ 90°, low angle first:
2θ/deg  intensity
23.43  27
25.74  100
26.91  87
36.70  42
37.09  29
45.34  34

Crystal structure
a b c (Å): 10.872 10.872 10.872
angles (deg): 112.98 112.98 102.67
Atoms (fractional coordinates):
Cs1 0.024 0.524 0.181
Cs2 0.157 0.976 0.500
Cs3 0.250 0.250 0.000
Cs4 0.343 0.843 0.819
Cs5 0.476 0.657 0.500
Cs6 0.524 0.343 0.500
Cs7 0.657 0.157 0.181
Cs8 0.750 0.750 0.000
Cs9 0.843 0.024 0.500
Cs10 0.976 0.476 0.819
Al1 0.000 0.500 0.500
Al2 0.076 0.208 0.284
Al3 0.208 0.924 0.133
Al4 0.292 0.424 0.716
Al5 0.424 0.708 0.133
Al6 0.500 0.000 0.500
Al7 0.576 0.292 0.867
Al8 0.708 0.576 0.284
Al9 0.792 0.076 0.867
Al10 0.924 0.792 0.716
F1 0.000 0.345 0.345
F2 0.000 0.655 0.655
F3 0.053 0.922 0.714
F4 0.068 0.857 0.925
F5 0.078 0.792 0.132
F6 0.131 0.631 0.500
F7 0.143 0.068 0.211
F8 0.155 0.500 0.655
F9 0.160 0.292 0.714
F10 0.208 0.340 0.286
F11 0.216 0.284 0.500
F12 0.284 0.784 0.068
F13 0.292 0.578 0.132
F14 0.340 0.053 0.132
F15 0.345 0.000 0.346
F16 0.357 0.568 0.925
F17 0.369 0.869 0.500
F18 0.422 0.553 0.714
F19 0.432 0.357 0.789
F20 0.447 0.160 0.868
F21 0.500 0.155 0.654
F22 0.500 0.845 0.346
F23 0.553 0.840 0.132
F24 0.568 0.643 0.211
F25 0.578 0.447 0.286
F26 0.631 0.131 0.500
F27 0.643 0.432 0.075
F28 0.655 0.000 0.654
F29 0.660 0.947 0.868
F30 0.708 0.422 0.868
F31 0.716 0.216 0.932
F32 0.784 0.716 0.500
F33 0.792 0.660 0.714
F34 0.840 0.708 0.286
F35 0.845 0.500 0.345
F36 0.857 0.932 0.789
F37 0.869 0.369 0.500
F38 0.922 0.208 0.868
F39 0.932 0.143 0.075
F40 0.947 0.078 0.286